(1)
The following is a calculated powder diffraction line list of Sn2N2O. It was derived from a DFT-relaxed cell (PBE, the Materials Project), using CuKα.

Structure:
```
Sn2N2O
1.0
8.8373 0.0000 0.0000
-2.9190 8.3460 0.0000
-2.9628 -4.1593 7.2293
Sn N O
16 16 8
direct
0.0000 0.0000 0.0000
0.0000 0.4846 0.4920
0.0471 0.2766 0.7536
0.2335 0.2611 0.4787
0.2408 0.5207 0.2785
0.2618 0.0389 0.7853
0.2865 0.7454 0.0482
0.4787 0.2193 0.2614
0.4922 0.9974 0.4986
0.5008 0.4920 0.0124
0.5388 0.7804 0.7561
0.7149 0.2359 0.9775
0.7493 0.4658 0.7136
0.7571 0.9683 0.2300
0.7921 0.7478 0.5393
0.9693 0.7076 0.2507
0.0020 0.0295 0.7642
0.2277 0.7676 0.2736
0.2349 0.2599 0.2285
0.2670 0.4920 0.0407
0.2808 0.5447 0.5470
0.2887 0.2712 0.7358
0.4680 0.9933 0.7298
0.4747 0.2371 0.5142
0.5065 0.2612 0.0491
0.5425 0.9966 0.2703
0.7414 0.7316 0.2740
0.7451 0.4665 0.4646
0.7678 0.7255 0.7756
0.7709 0.0315 0.0170
0.9567 0.4495 0.2241
0.9675 0.2242 0.4706
0.0158 0.9534 0.2359
0.0433 0.5455 0.7807
0.0615 0.7713 0.5462
0.2221 0.9345 0.9852
0.4898 0.7141 0.9541
0.5486 0.7673 0.4911
0.7374 0.5001 0.9589
0.7896 0.2360 0.7467
```

Principal peaks in the range 2θ = 10–80°, most intense first:
(1 1 1), 30.3 deg, I = 100
(0 0 4), 50.5 deg, I = 32
(-2 2 2), 35.1 deg, I = 23
(-1 3 3), 60.0 deg, I = 15
(2 -2 2), 35.2 deg, I = 11
(-3 5 1), 60.1 deg, I = 10
(1 1 -2), 21.3 deg, I = 10
(0 4 -3), 45.2 deg, I = 6

(2)
The following is a calculated powder diffraction line list of Sn2N2O. It was derived from a DFT-relaxed cell (PBE, the Materials Project), using CuKα.

Structure:
```
Sn2N2O
1.0
8.8481 0.0000 0.0000
-2.9533 8.3484 0.0000
-2.9272 -4.1759 7.2433
Sn N O
16 16 8
direct
0.0000 0.0000 0.0000
0.0007 0.5117 0.5077
0.0336 0.7577 0.2771
0.2201 0.9660 0.7482
0.2504 0.2282 0.4719
0.2560 0.7339 0.9683
0.2969 0.5506 0.2586
0.4718 0.2590 0.2139
0.5038 0.9965 0.4916
0.5127 0.5171 0.0023
0.5387 0.7602 0.7842
0.7270 0.4858 0.7621
0.7481 0.7850 0.5258
0.7555 0.2900 0.0370
0.7896 0.0453 0.2503
0.9708 0.2583 0.7041
0.0102 0.9705 0.2364
0.0485 0.2866 0.5036
0.2416 0.9863 0.0090
0.2627 0.7719 0.2236
0.2743 0.7418 0.7284
0.4649 0.4631 0.7262
0.4962 0.7723 0.5381
0.5375 0.5344 0.2595
0.5416 0.7810 0.0449
0.7292 0.2816 0.2705
0.7365 0.0047 0.4609
0.7798 0.0547 0.9970
0.7800 0.5413 0.0401
0.7808 0.7400 0.7633
0.9644 0.5096 0.7440
0.9664 0.7475 0.4929
0.0204 0.0685 0.7795
0.0489 0.4955 0.2675
0.2280 0.4516 0.9567
0.2356 0.2904 0.2462
0.2904 0.0220 0.5538
0.4593 0.2292 0.9378
0.5005 0.2299 0.4521
0.7194 0.2259 0.7627
```

Principal peaks in the range 2θ = 10–80°, most intense first:
(-3 1 1), 30.3 deg, I = 100
(-2 2 2), 35.1 deg, I = 34
(0 4 0), 50.4 deg, I = 25
(-3 5 1), 60.0 deg, I = 15
(4 -4 0), 50.5 deg, I = 13
(0 1 -2), 21.3 deg, I = 10
(5 -3 1), 59.9 deg, I = 10
(-5 3 3), 60.1 deg, I = 5

(3)
The following is a calculated powder diffraction line list of Sn2N2O. It was derived from a DFT-relaxed cell (PBE, the Materials Project), using CuKα.

Structure:
```
Sn2N2O
1.0
8.8000 0.0000 0.0000
-2.9118 8.3577 0.0000
-2.9374 -4.1634 7.2580
Sn N O
16 16 8
direct
0.0000 0.0000 0.0000
0.0001 0.4958 0.4877
0.0432 0.8141 0.2808
0.2222 0.5342 0.2384
0.2553 0.2849 0.5273
0.2680 0.7897 0.0417
0.2900 0.0349 0.8136
0.4844 0.7501 0.7889
0.4933 0.5577 0.0528
0.5145 0.0730 0.5522
0.5198 0.3027 0.2599
0.7122 0.5272 0.7425
0.7454 0.7816 0.5259
0.7596 0.2937 0.0339
0.7908 0.0431 0.3140
0.9690 0.2580 0.7765
0.0196 0.0424 0.2596
0.0322 0.2984 0.5703
0.2125 0.5161 0.9819
0.2715 0.0362 0.0517
0.3024 0.8307 0.3066
0.4825 0.5074 0.7949
0.4830 0.2807 0.4777
0.4857 0.5472 0.2988
0.5110 0.3114 0.0101
0.5360 0.8287 0.0695
0.7214 0.0127 0.5223
0.7280 0.7900 0.7668
0.7418 0.2451 0.2573
0.7520 0.3231 0.7973
0.9886 0.2399 0.0272
0.9918 0.5588 0.2694
0.0281 0.0102 0.7349
0.2153 0.7433 0.7453
0.2535 0.0496 0.5742
0.2730 0.5267 0.4929
0.5171 0.9967 0.7819
0.7965 0.7632 0.2973
0.8230 0.5769 0.5562
0.9773 0.7227 0.9890
```

Principal peaks in the range 2θ = 10–80°, most intense first:
(1 1 1), 30.2 deg, I = 100
(-2 2 2), 35.1 deg, I = 67
(1 -3 1), 30.3 deg, I = 50
(-3 1 1), 30.5 deg, I = 49
(0 4 0), 50.3 deg, I = 26
(4 0 -4), 50.6 deg, I = 25
(1 5 -3), 59.9 deg, I = 21
(0 4 -4), 50.4 deg, I = 13

(4)
The following is a calculated powder diffraction line list of Sn2N2O. It was derived from a DFT-relaxed cell (PBE, the Materials Project), using CuKα.

Structure:
```
Sn2N2O
1.0
8.8049 0.0000 0.0000
-2.9240 8.3532 0.0000
-2.9505 -4.1649 7.2558
Sn N O
16 16 8
direct
0.0000 0.0000 0.0000
0.0031 0.5081 0.5135
0.0445 0.3218 0.7943
0.2228 0.0437 0.7541
0.2560 0.7919 0.0412
0.2686 0.2982 0.5547
0.2956 0.5450 0.3290
0.4873 0.2637 0.3044
0.4942 0.0677 0.5686
0.5095 0.5768 0.0756
0.5228 0.8131 0.7768
0.7130 0.0328 0.2550
0.7505 0.2859 0.0426
0.7541 0.7893 0.5397
0.7944 0.5480 0.8227
0.9785 0.7715 0.2974
0.0214 0.5501 0.7704
0.0249 0.7934 0.0822
0.2170 0.0276 0.4992
0.2736 0.5451 0.5645
0.3060 0.3403 0.8221
0.4821 0.7864 0.9919
0.4837 0.0182 0.3091
0.4881 0.0601 0.8179
0.5146 0.8272 0.5297
0.5179 0.5087 0.2988
0.5386 0.3362 0.5874
0.7329 0.2967 0.2809
0.7434 0.7507 0.7711
0.7585 0.8286 0.3052
0.9885 0.0646 0.7795
0.9937 0.7488 0.5416
0.0266 0.5204 0.2469
0.2071 0.2392 0.2617
0.2478 0.5595 0.0855
0.2642 0.0272 0.0037
0.7135 0.5113 0.0321
0.8041 0.2860 0.8237
0.8185 0.0774 0.0623
0.9792 0.2292 0.5038
```

Principal peaks in the range 2θ = 10–80°, most intense first:
(1 -3 1), 30.2 deg, I = 100
(2 2 -2), 35.1 deg, I = 45
(-3 1 1), 30.5 deg, I = 32
(0 4 0), 50.3 deg, I = 17
(4 0 -4), 50.6 deg, I = 17
(1 5 -3), 59.9 deg, I = 14
(3 3 -5), 60.0 deg, I = 11
(1 0 1), 21.3 deg, I = 9

(5)
The following is a calculated powder diffraction line list of Sn2N2O. It was derived from a DFT-relaxed cell (PBE, the Materials Project), using CuKα.

Structure:
```
Sn2N2O
1.0
8.8189 0.0000 0.0000
-2.9068 8.3362 0.0000
-2.9220 -4.1253 7.2425
Sn N O
16 16 8
direct
0.0000 0.0000 0.0000
0.9999 0.4981 0.4947
0.0425 0.7231 0.2454
0.2133 0.1826 0.4641
0.2357 0.4578 0.2050
0.2612 0.9717 0.7157
0.2845 0.7531 0.9666
0.4780 0.2241 0.1907
0.4841 0.4210 0.9198
0.4975 0.9396 0.4239
0.5260 0.7074 0.7439
0.7220 0.6912 0.4762
0.7376 0.4639 0.7046
0.7539 0.9718 0.2250
0.7805 0.2528 0.9641
0.9561 0.2025 0.6778
0.0072 0.2210 0.9411
0.0074 0.4693 0.2504
0.2047 0.1939 0.7228
0.2475 0.6900 0.1652
0.2630 0.2377 0.2530
0.2861 0.7298 0.7146
0.2929 0.9687 0.4841
0.4719 0.4297 0.6737
0.5190 0.0087 0.2107
0.5257 0.2054 0.9588
0.7059 0.2035 0.6769
0.7195 0.4381 0.4428
0.7432 0.9186 0.4470
0.7882 0.7456 0.7570
0.9725 0.9225 0.2056
0.9816 0.2422 0.4495
0.0188 0.5146 0.7664
0.1949 0.9490 0.9317
0.4650 0.6869 0.4809
0.4841 0.4856 0.1755
0.5200 0.6916 0.9926
0.7233 0.9979 0.9784
0.7863 0.5200 0.9861
0.9842 0.7526 0.4918
```

Principal peaks in the range 2θ = 10–80°, most intense first:
(1 -3 1), 30.4 deg, I = 100
(2 -2 2), 35.2 deg, I = 45
(1 1 1), 30.1 deg, I = 33
(4 -4 0), 50.7 deg, I = 25
(4 0 0), 50.4 deg, I = 25
(-3 5 1), 60.1 deg, I = 17
(0 2 -1), 21.3 deg, I = 11
(3 -5 3), 60.2 deg, I = 11

(6)
The following is a calculated powder diffraction line list of Sn2N2O. It was derived from a DFT-relaxed cell (PBE, the Materials Project), using CuKα.

Structure:
```
Sn2N2O
1.0
8.8470 0.0000 0.0000
-2.9299 8.3483 0.0000
-2.9411 -4.1743 7.2433
Sn N O
16 16 8
direct
0.0000 0.0000 0.0000
0.0029 0.5076 0.4951
0.0404 0.2629 0.7938
0.2153 0.9720 0.7527
0.2375 0.7795 0.0341
0.2580 0.2921 0.5266
0.2942 0.5480 0.2611
0.4743 0.7619 0.7144
0.4898 0.0015 0.5027
0.5074 0.5093 0.0141
0.5324 0.2536 0.2838
0.7220 0.4718 0.7600
0.7367 0.2161 0.9753
0.7566 0.7360 0.4686
0.7856 0.0332 0.2432
0.9671 0.7563 0.2204
0.0060 0.7399 0.4701
0.0490 0.0531 0.2786
0.2282 0.7731 0.2749
0.2368 0.5044 0.4671
0.2659 0.5367 0.9955
0.2779 0.0396 0.0397
0.4557 0.0104 0.7383
0.4761 0.2450 0.5060
0.5018 0.4633 0.2407
0.5534 0.7880 0.5119
0.7277 0.4577 0.0022
0.7293 0.9614 0.9595
0.7303 0.7810 0.2336
0.7661 0.2715 0.2426
0.9551 0.7283 0.9546
0.9714 0.9894 0.7398
0.0005 0.2813 0.5550
0.0334 0.2884 0.0564
0.2310 0.7210 0.7747
0.2794 0.2397 0.7553
0.5085 0.5545 0.7795
0.5440 0.9943 0.2755
0.7805 0.2387 0.7326
0.7897 0.5188 0.5621
```

Principal peaks in the range 2θ = 10–80°, most intense first:
(1 1 1), 30.3 deg, I = 100
(-2 2 2), 35.1 deg, I = 33
(0 4 0), 50.4 deg, I = 25
(-3 1 5), 60.0 deg, I = 15
(4 -4 0), 50.6 deg, I = 13
(2 0 -1), 21.3 deg, I = 11
(-1 3 3), 59.9 deg, I = 10
(-3 5 1), 60.1 deg, I = 6

(7)
The following is a calculated powder diffraction line list of Sn2N2O. It was derived from a DFT-relaxed cell (PBE, the Materials Project), using CuKα.

Structure:
```
Sn2N2O
1.0
6.4546 0.0000 0.0000
-3.2273 5.5898 0.0000
0.0000 0.0000 15.8093
Sn N O
16 16 8
direct
0.0000 0.0000 0.0000
0.0000 0.0000 0.3713
0.0000 0.0000 0.6287
0.0000 0.5000 0.5000
0.1681 0.3362 0.8348
0.1681 0.8319 0.8348
0.3333 0.6667 0.0449
0.3333 0.6667 0.6686
0.3362 0.1681 0.1652
0.5000 0.0000 0.5000
0.5000 0.5000 0.5000
0.6638 0.8319 0.8348
0.6667 0.3333 0.3314
0.6667 0.3333 0.9551
0.8319 0.1681 0.1652
0.8319 0.6638 0.1652
0.0000 0.0000 0.2386
0.0000 0.0000 0.7614
0.1547 0.3095 0.0873
0.1547 0.8453 0.0873
0.1785 0.3570 0.5824
0.1785 0.8215 0.5824
0.3095 0.1547 0.9127
0.3333 0.6667 0.9114
0.3570 0.1785 0.4176
0.6430 0.8215 0.5824
0.6667 0.3333 0.0886
0.6905 0.8453 0.0873
0.8215 0.1785 0.4176
0.8215 0.6430 0.4176
0.8453 0.1547 0.9127
0.8453 0.6905 0.9127
0.0464 0.5232 0.7575
0.3333 0.6667 0.4363
0.4768 0.5232 0.7575
0.4768 0.9536 0.7575
0.5232 0.0464 0.2425
0.5232 0.4768 0.2425
0.6667 0.3333 0.5637
0.9536 0.4768 0.2425
```

Principal peaks in the range 2θ = 10–80°, most intense first:
(1 1 3), 32.5 deg, I = 100
(2 2 0), 57.1 deg, I = 44
(0 3 3), 52.1 deg, I = 39
(0 0 6), 34.0 deg, I = 34
(0 0 3), 16.8 deg, I = 34
(0 2 4), 39.5 deg, I = 22
(2 2 6), 68.1 deg, I = 18
(1 1 0), 27.6 deg, I = 17

Number 5 is which compound?
Sn2N2O